# 1
For DyUTe6, DFT lattice parameters and positions (GGA-PBE) gives the calculated powder XRD pattern in this record (Cu Kα X-rays).
Neutral-atom scattering factors, no anomalous dispersion.

The 8 most intense peaks (2θ from 10° to 80°), most intense first:
- d = 2.910 Å, 30.7°, I = 1000
- d = 2.647 Å, 33.9°, I = 671
- d = 2.190 Å, 41.2°, I = 641
- d = 3.185 Å, 28.0°, I = 397
- d = 2.359 Å, 38.2°, I = 348
- d = 3.074 Å, 29.0°, I = 314
- d = 1.805 Å, 50.6°, I = 310
- d = 2.576 Å, 34.8°, I = 216

Atomic structure:
```
8
Lattice="4.382 0.000 0.000 0.000 2.189 12.740 0.000 -2.189 12.740" Properties=species:S:1:pos:R:3 pbc="T T T"
Dy 0.000 0.000 0.000
U 2.191 0.000 16.919
Te 0.000 0.000 3.232
Te 0.000 0.000 10.329
Te 0.000 0.000 19.202
Te 2.191 0.000 6.462
Te 2.191 0.000 13.733
Te 2.191 0.000 23.060
```

# 2
For DyTh2, DFT lattice parameters and positions (GGA-PBE) gives the calculated powder XRD pattern in this record (Cu Kα X-rays).
Neutral-atom scattering factors, no anomalous dispersion.

The 8 most intense peaks (2θ from 10° to 80°), most intense first:
- d = 2.909 Å, 30.7°, I = 1000
- d = 2.520 Å, 35.6°, I = 515
- d = 1.519 Å, 61.0°, I = 443
- d = 1.782 Å, 51.3°, I = 367
- d = 1.455 Å, 64.0°, I = 128
- d = 1.260 Å, 75.5°, I = 59
- d = 8.730 Å, 10.1°, I = 40
- d = 3.086 Å, 28.9°, I = 9

Atomic structure:
```
3
Lattice="3.563 0.000 0.000 -1.781 3.086 0.000 0.000 0.000 8.730" Properties=species:S:1:pos:R:3 pbc="T T T"
Dy 0.000 0.000 0.000
Th 0.000 2.057 5.787
Th 1.781 1.029 2.942
```

# 3
For Dy3Tl5, DFT lattice parameters and positions (GGA-PBE) gives the calculated powder XRD pattern in this record (Cu Kα X-rays).
Neutral-atom scattering factors, no anomalous dispersion.

The 8 most intense peaks (2θ from 10° to 80°), most intense first:
- d = 2.712 Å, 33.0°, I = 1000
- d = 2.579 Å, 34.8°, I = 401
- d = 2.643 Å, 33.9°, I = 265
- d = 2.352 Å, 38.3°, I = 262
- d = 1.846 Å, 49.4°, I = 199
- d = 1.398 Å, 66.9°, I = 135
- d = 3.078 Å, 29.0°, I = 107
- d = 1.513 Å, 61.3°, I = 101

Atomic structure:
```
16
Lattice="5.158 -3.996 0.000 5.158 3.996 0.000 0.000 0.000 10.573" Properties=species:S:1:pos:R:3 pbc="T T T"
Dy 5.158 3.067 7.930
Dy 3.033 0.000 0.000
Dy 3.033 0.000 5.286
Dy 7.283 0.000 0.000
Dy 7.283 0.000 5.286
Dy 5.158 -3.067 2.643
Tl 2.347 1.711 7.930
Tl 5.158 2.407 0.466
Tl 5.158 2.407 4.821
Tl 2.347 -1.711 2.643
Tl 5.158 -0.003 2.643
Tl 5.158 0.003 7.930
Tl 7.969 1.711 7.930
Tl 5.158 -2.407 5.752
Tl 5.158 -2.407 10.107
Tl 7.969 -1.711 2.643
```

# 4
For Dy2Tl, DFT lattice parameters and positions (GGA-PBE) gives the calculated powder XRD pattern in this record (Cu Kα X-rays).
Neutral-atom scattering factors, no anomalous dispersion.

The 8 most intense peaks (2θ from 10° to 80°), most intense first:
- d = 2.707 Å, 33.1°, I = 1000
- d = 2.735 Å, 32.7°, I = 880
- d = 1.568 Å, 58.9°, I = 333
- d = 1.924 Å, 47.2°, I = 320
- d = 1.429 Å, 65.3°, I = 286
- d = 1.563 Å, 59.1°, I = 193
- d = 2.110 Å, 42.9°, I = 146
- d = 1.213 Å, 78.9°, I = 144

Atomic structure:
```
6
Lattice="5.414 0.000 0.000 -2.707 4.689 0.000 0.000 0.000 6.733" Properties=species:S:1:pos:R:3 pbc="T T T"
Dy 0.000 0.000 0.000
Dy 0.000 0.000 3.366
Dy 0.000 3.126 1.683
Dy 2.707 1.563 5.050
Tl 0.000 3.126 5.050
Tl 2.707 1.563 1.683
```